Diffraction record for U4InGa15. The powder diffractogram is computed, not measured: it uses a GGA-PBE-relaxed structure and CuKα.

Largest 10 diffraction maxima, in order of falling intensity, 2θ = 10–90°:
- 2θ 36.3, d 2.476, intensity 100
- 2θ 42.5, d 2.127, intensity 33
- 2θ 73.7, d 1.285, intensity 25
- 2θ 60.9, d 1.522, intensity 21
- 2θ 20.9, d 4.254, intensity 19
- 2θ 29.3, d 3.044, intensity 17
- 2θ 41.4, d 2.179, intensity 16
- 2θ 72.2, d 1.308, intensity 11
- 2θ 61.7, d 1.504, intensity 11
- 2θ 77.0, d 1.238, intensity 10

Structural model:
Cell: 4.2540 4.2540 21.7897 Å, 90.00 90.00 90.00°
Element x y z (fractional)
U1 0.0000 0.0000 0.0981
U2 0.0000 0.0000 0.2944
U3 0.0000 0.0000 0.7056
U4 0.0000 0.0000 0.9019
In1 0.0000 0.0000 0.5000
Ga1 0.0000 0.5000 0.0000
Ga2 0.0000 0.5000 0.1960
Ga3 0.0000 0.5000 0.3929
Ga4 0.0000 0.5000 0.6071
Ga5 0.0000 0.5000 0.8040
Ga6 0.5000 0.0000 0.0000
Ga7 0.5000 0.0000 0.1960
Ga8 0.5000 0.0000 0.3929
Ga9 0.5000 0.0000 0.6071
Ga10 0.5000 0.0000 0.8040
Ga11 0.5000 0.5000 0.0974
Ga12 0.5000 0.5000 0.2905
Ga13 0.5000 0.5000 0.5000
Ga14 0.5000 0.5000 0.7095
Ga15 0.5000 0.5000 0.9026

Diffraction record for Zn8Pd3Pt. The powder diffractogram is computed, not measured: it uses a GGA-PBE-relaxed structure and CuKα.

Largest 10 diffraction maxima, in order of falling intensity, 2θ = 10–90°:
- 2θ 42.7, d 2.118, intensity 100
- 2θ 26.0, d 3.427, intensity 45
- 2θ 25.7, d 3.462, intensity 42
- 2θ 42.9, d 2.108, intensity 25
- 2θ 43.6, d 2.077, intensity 24
- 2θ 78.5, d 1.219, intensity 16
- 2θ 62.8, d 1.479, intensity 15
- 2θ 79.4, d 1.207, intensity 15
- 2θ 50.9, d 1.796, intensity 14
- 2θ 51.3, d 1.781, intensity 13

Structural model:
Cell: 7.3859 7.3502 5.9185 Å, 66.64 66.00 47.36°
Element x y z (fractional)
Zn1 0.1237 0.6233 0.8763
Zn2 0.1266 0.6258 0.3742
Zn3 0.3742 0.8734 0.1266
Zn4 0.3767 0.8763 0.6233
Zn5 0.6233 0.1237 0.3767
Zn6 0.6258 0.1266 0.8734
Zn7 0.8734 0.3742 0.6258
Zn8 0.8763 0.3767 0.1237
Pd1 0.0000 0.0000 0.0000
Pd2 0.2500 0.2500 0.2500
Pd3 0.7500 0.7500 0.7500
Pt1 0.5000 0.5000 0.5000

Diffraction record for ReNi4Pd. The powder diffractogram is computed, not measured: it uses a GGA-PBE-relaxed structure and CuKα.

Largest 10 diffraction maxima, in order of falling intensity, 2θ = 10–90°:
- 2θ 42.3, d 2.135, intensity 100
- 2θ 49.5, d 1.842, intensity 63
- 2θ 43.0, d 2.105, intensity 49
- 2θ 43.2, d 2.095, intensity 47
- 2θ 50.2, d 1.817, intensity 30
- 2θ 88.9, d 1.101, intensity 23
- 2θ 23.0, d 3.861, intensity 20
- 2θ 13.4, d 6.587, intensity 20
- 2θ 73.3, d 1.291, intensity 18
- 2θ 73.0, d 1.296, intensity 18

Structural model:
Cell: 4.4583 4.4583 7.2664 Å, 113.78 113.78 34.41°
Element x y z (fractional)
Re1 0.0000 0.0000 0.0000
Ni1 0.3287 0.3287 0.1590
Ni2 0.3346 0.3346 0.6759
Ni3 0.6654 0.6654 0.3241
Ni4 0.6713 0.6713 0.8410
Pd1 0.0000 0.0000 0.5000